Starting from a DFT-relaxed cell (GGA-PBE, Alexandria), the X-ray diffraction stick pattern of U2Tl2IrSe6 was calculated for Cu Kα (λ = 1.5418 Å).

```
11
Lattice="3.3241 -5.7569 0.0000 3.3241 5.7569 0.0000 -2.5234 0.0000 8.1708" Properties=species:S:1:pos:R:3 pbc="T T T"
U 3.3241 3.7686 0.0000
U 3.3241 -3.7686 0.0000
Tl 2.0624 2.0104 4.0854
Tl 2.0624 -2.0104 4.0854
Ir 3.3241 0.0000 0.0000
Se -0.2364 1.7326 6.5040
Se 1.2899 0.0000 1.5964
Se -0.2364 -1.7326 6.5040
Se 4.3612 1.7326 1.6668
Se 2.8349 0.0000 6.5744
Se 4.3612 -1.7326 1.6668
```

Top 6 peaks for 2θ from 10° to 90°, in order of falling intensity:
d_spacing  I/Imax
2.899  100.0
2.967  50.7
1.918  45.0
2.274  41.2
8.171  39.4
4.085  22.3